# 1
This entry pairs a crystal structure of OsSeS3Cl4 with its computed powder diffractogram. Radiation: Cu Kα (λ = 1.5418 Å). Structure: a crystal structure in the Materials Project, relaxed with PBE.
Kinematic intensities with the Lorentz-polarization factor, no thermal factor.

Cell and atoms:
```
data_OsSeS3Cl4
_symmetry_space_group_name_H-M 'P 1'
_symmetry_Int_Tables_number 1
_cell_length_a 9.568
_cell_length_b 9.316
_cell_length_c 11.879
_cell_angle_alpha 90.00
_cell_angle_beta 105.82
_cell_angle_gamma 90.00
loop_
_symmetry_equiv_pos_as_xyz
'x,y,z'
loop_
_atom_site_label
_atom_site_type_symbol
_atom_site_fract_x
_atom_site_fract_y
_atom_site_fract_z
Os1 Os 0.048 0.000 0.225
Os2 Os 0.311 0.869 0.291
Os3 Os 0.689 0.369 0.709
Os4 Os 0.952 0.500 0.775
Se1 Se 0.013 0.591 0.133
Se2 Se 0.496 0.495 0.786
Se3 Se 0.504 0.995 0.214
Se4 Se 0.987 0.091 0.867
S1 S 0.047 0.339 0.676
S2 S 0.137 0.838 0.123
S3 S 0.151 0.177 0.781
S4 S 0.166 0.519 0.305
S5 S 0.224 0.703 0.396
S6 S 0.240 0.060 0.380
S7 S 0.760 0.560 0.620
S8 S 0.776 0.203 0.604
S9 S 0.834 0.019 0.695
S10 S 0.849 0.677 0.219
S11 S 0.863 0.338 0.877
S12 S 0.953 0.839 0.324
Cl1 Cl 0.078 0.681 0.694
Cl2 Cl 0.123 0.200 0.122
Cl3 Cl 0.170 0.500 0.934
Cl4 Cl 0.205 0.008 0.541
Cl5 Cl 0.420 0.010 0.022
Cl6 Cl 0.450 0.695 0.214
Cl7 Cl 0.458 0.394 0.558
Cl8 Cl 0.488 0.724 0.741
Cl9 Cl 0.512 0.224 0.259
Cl10 Cl 0.542 0.894 0.442
Cl11 Cl 0.550 0.195 0.786
Cl12 Cl 0.580 0.510 0.978
Cl13 Cl 0.795 0.508 0.459
Cl14 Cl 0.830 0.000 0.066
Cl15 Cl 0.877 0.700 0.878
Cl16 Cl 0.922 0.181 0.306
```

Top 10 peaks for 2θ from 15° to 90°, low angle first:
2theta	d/Å	I (rel.)
15.51	5.715	100
18.52	4.790	25
19.05	4.658	20
26.83	3.323	24
28.68	3.113	22
29.81	2.998	24
32.42	2.762	24
34.53	2.598	24
35.77	2.510	21
39.15	2.301	26

---

# 2
This entry pairs a crystal structure of CaRe3H9S4O6 with its computed powder diffractogram. Radiation: Cu Kα (λ = 1.5418 Å). Structure: a crystal structure in the Materials Project, relaxed with PBE.
Kinematic intensities with the Lorentz-polarization factor, no thermal factor.

Cell and atoms:
```
data_CaRe3H9S4O6
_symmetry_space_group_name_H-M 'P 1'
_symmetry_Int_Tables_number 1
_cell_length_a 8.974
_cell_length_b 8.974
_cell_length_c 9.099
_cell_angle_alpha 90.00
_cell_angle_beta 90.00
_cell_angle_gamma 120.00
loop_
_symmetry_equiv_pos_as_xyz
'x,y,z'
loop_
_atom_site_label
_atom_site_type_symbol
_atom_site_fract_x
_atom_site_fract_y
_atom_site_fract_z
Ca1 Ca 0.333 0.667 0.169
Ca2 Ca 0.667 0.333 0.831
Re1 Re 0.057 0.190 0.383
Re2 Re 0.133 0.943 0.383
Re3 Re 0.190 0.133 0.617
Re4 Re 0.810 0.867 0.383
Re5 Re 0.867 0.057 0.617
Re6 Re 0.943 0.810 0.617
H1 H 0.024 0.372 0.185
H2 H 0.166 0.338 0.983
H3 H 0.171 0.834 0.983
H4 H 0.229 0.763 0.854
H5 H 0.237 0.466 0.854
H6 H 0.338 0.171 0.017
H7 H 0.348 0.976 0.185
H8 H 0.372 0.348 0.815
H9 H 0.466 0.229 0.146
H10 H 0.534 0.771 0.854
H11 H 0.628 0.652 0.185
H12 H 0.652 0.024 0.815
H13 H 0.662 0.829 0.983
H14 H 0.763 0.534 0.146
H15 H 0.771 0.237 0.146
H16 H 0.829 0.166 0.017
H17 H 0.834 0.662 0.017
H18 H 0.976 0.628 0.815
S1 S 0.000 0.000 0.175
S2 S 0.000 0.000 0.825
S3 S 0.103 0.352 0.610
S4 S 0.248 0.897 0.610
S5 S 0.352 0.248 0.390
S6 S 0.648 0.752 0.610
S7 S 0.752 0.103 0.390
S8 S 0.897 0.648 0.390
O1 O 0.122 0.405 0.250
O2 O 0.180 0.733 0.953
O3 O 0.267 0.447 0.953
O4 O 0.283 0.878 0.250
O5 O 0.405 0.283 0.750
O6 O 0.447 0.180 0.047
O7 O 0.553 0.820 0.953
O8 O 0.595 0.717 0.250
O9 O 0.717 0.122 0.750
O10 O 0.733 0.553 0.047
O11 O 0.820 0.267 0.047
O12 O 0.878 0.595 0.750
```

Top 10 peaks for 2θ from 15° to 90°, low angle first:
2theta	d/Å	I (rel.)
32.02	2.795	88
36.05	2.492	47
36.41	2.468	59
40.05	2.251	50
41.39	2.181	81
42.86	2.110	37
43.13	2.097	47
46.08	1.970	43
46.63	1.948	100
52.05	1.757	50

---

# 3
This entry pairs a crystal structure of Ba3Si2B6O16 with its computed powder diffractogram. Radiation: Cu Kα (λ = 1.5418 Å). Structure: a crystal structure in the Materials Project, relaxed with PBE.
Kinematic intensities with the Lorentz-polarization factor, no thermal factor.

Cell and atoms:
```
data_Ba3Si2B6O16
_symmetry_space_group_name_H-M 'P 1'
_symmetry_Int_Tables_number 1
_cell_length_a 5.084
_cell_length_b 7.682
_cell_length_c 8.630
_cell_angle_alpha 77.18
_cell_angle_beta 77.70
_cell_angle_gamma 87.29
loop_
_symmetry_equiv_pos_as_xyz
'x,y,z'
loop_
_atom_site_label
_atom_site_type_symbol
_atom_site_fract_x
_atom_site_fract_y
_atom_site_fract_z
Ba1 Ba 0.000 0.000 0.000
Ba2 Ba 0.119 0.580 0.735
Ba3 Ba 0.881 0.420 0.265
Si1 Si 0.260 0.174 0.560
Si2 Si 0.740 0.826 0.440
B1 B 0.316 0.761 0.296
B2 B 0.469 0.303 0.976
B3 B 0.478 0.091 0.254
B4 B 0.522 0.909 0.746
B5 B 0.531 0.697 0.024
B6 B 0.684 0.239 0.704
O1 O 0.028 0.727 0.389
O2 O 0.201 0.324 0.994
O3 O 0.279 0.973 0.673
O4 O 0.285 0.178 0.367
O5 O 0.355 0.642 0.178
O6 O 0.364 0.945 0.206
O7 O 0.405 0.774 0.895
O8 O 0.498 0.706 0.415
O9 O 0.502 0.294 0.585
O10 O 0.595 0.226 0.105
O11 O 0.636 0.055 0.794
O12 O 0.645 0.358 0.822
O13 O 0.715 0.822 0.633
O14 O 0.721 0.027 0.327
O15 O 0.799 0.676 0.006
O16 O 0.972 0.273 0.611
```

Top 10 peaks for 2θ from 15° to 90°, low angle first:
2theta	d/Å	I (rel.)
17.86	4.967	28
18.85	4.708	35
22.28	3.991	28
23.87	3.728	37
26.83	3.323	86
28.55	3.126	85
29.83	2.996	100
31.46	2.844	54
35.52	2.527	31
43.42	2.084	26

---

# 4
This entry pairs a crystal structure of SrMgHg2 with its computed powder diffractogram. Radiation: Cu Kα (λ = 1.5418 Å). Structure: a crystal structure in the Materials Project, relaxed with PBE.
Kinematic intensities with the Lorentz-polarization factor, no thermal factor.

Cell and atoms:
```
data_SrMgHg2
_symmetry_space_group_name_H-M 'P 1'
_symmetry_Int_Tables_number 1
_cell_length_a 5.314
_cell_length_b 5.314
_cell_length_c 5.314
_cell_angle_alpha 60.00
_cell_angle_beta 60.00
_cell_angle_gamma 60.00
loop_
_symmetry_equiv_pos_as_xyz
'x,y,z'
loop_
_atom_site_label
_atom_site_type_symbol
_atom_site_fract_x
_atom_site_fract_y
_atom_site_fract_z
Sr1 Sr 0.000 0.000 0.000
Mg1 Mg 0.500 0.500 0.500
Hg1 Hg 0.250 0.250 0.250
Hg2 Hg 0.750 0.750 0.750
```

Top 10 peaks for 2θ from 15° to 90°, low angle first:
2theta	d/Å	I (rel.)
23.68	3.758	37
33.73	2.657	100
41.63	2.170	12
48.45	1.879	18
54.61	1.681	16
60.33	1.534	38
70.94	1.329	12
75.97	1.253	8
80.89	1.188	17
85.75	1.133	5